The following is a simulated powder diffraction line list of Tb7Pr12Dy. It was derived from a DFT-relaxed cell (GGA-PBE, Alexandria), using Cu Kα (λ = 1.5418 Å).
Kinematic intensities with the Lorentz-polarization factor, no thermal factor.

Main lines, by angle (5° ≤ 2θ ≤ 70°):
two_theta	I/Imax	index
27.1	46	3 3 0
29.7	100	0 5 1
30.2	45	2 0 2
32.4	46	5 1 1
32.7	47	2 5 0
34.2	28	3 1 2
38.9	40	5 0 2
39.6	26	7 0 1
46.0	30	5 5 0
47.1	28	0 7 2

Structural model:
```
data_Tb7Pr12Dy
_space_group_name_H-M_alt 'R -3'
_space_group_IT_number 148
_space_group_name_Hall '-R 3'
_cell_length_a 19.7347
_cell_length_b 19.7347
_cell_length_c 6.3043
_cell_angle_alpha 90.00
_cell_angle_beta 90.00
_cell_angle_gamma 120.00
loop_
_atom_site_label
_atom_site_fract_x
_atom_site_fract_y
_atom_site_fract_z
_atom_site_occupancy
Tb1 0.0000 0.0000 0.0000 1
Tb2 0.0815 0.1637 0.2951 1
Pr1 0.9998 0.4114 0.9992 1
Pr2 0.0978 0.5485 0.4678 1
Dy1 0.0000 0.0000 0.5000 1
```